# 1
# UPaSbN2
Calculated powder X-ray diffraction pattern, Cu Kα, 1.54184 Å. Input: a structure optimized by DFT (PBE).
Lines closer than 0.1° are merged.

```
data_UPaSbN2
_cell_length_a 3.905
_cell_length_b 3.905
_cell_length_c 12.407
_cell_angle_alpha 90.00
_cell_angle_beta 90.00
_cell_angle_gamma 90.00
_space_group_name_H-M_alt 'I 4 m m'
_space_group_IT_number 107
_space_group_name_Hall 'I 4 -2'
loop_
_atom_site_label
_atom_site_fract_x
_atom_site_fract_y
_atom_site_fract_z
_atom_site_occupancy
U1 0.000 0.000 0.000 1
Pa1 0.000 0.000 0.687 1
Sb1 0.000 0.000 0.344 1
N1 0.000 0.500 0.094 1
```

Principal peaks in the range 15° ≤ 2θ ≤ 90°, in order of rising 2θ:
hkl  d_spacing  2theta  I (rel.)
1 0 1  3.725  23.89  10
1 0 3  2.839  31.51  100
1 1 0  2.761  32.42  43
2 0 0  1.952  46.51  19
1 1 6  1.655  55.52  20
2 1 3  1.609  57.27  38
2 0 6  1.420  65.78  11
3 0 3  1.242  76.77  9

# 2
# Re2SnGeC
Calculated powder X-ray diffraction pattern, Cu Kα, 1.54184 Å. Input: a structure optimized by DFT (PBE).
Lines closer than 0.1° are merged.

```
data_Re2SnGeC
_cell_length_a 4.160
_cell_length_b 4.160
_cell_length_c 4.534
_cell_angle_alpha 90.00
_cell_angle_beta 90.00
_cell_angle_gamma 90.00
_space_group_name_H-M_alt 'P 4/m m m'
_space_group_IT_number 123
_space_group_name_Hall '-P 4 2'
loop_
_atom_site_label
_atom_site_fract_x
_atom_site_fract_y
_atom_site_fract_z
_atom_site_occupancy
Re1 0.000 0.500 0.000 1
Sn1 0.000 0.000 0.500 1
Ge1 0.500 0.500 0.500 1
C1 0.500 0.500 0.000 1
```

Principal peaks in the range 15° ≤ 2θ ≤ 90°, in order of rising 2θ:
hkl  d_spacing  2theta  I (rel.)
0 0 1  4.534  19.58  13
1 1 1  2.468  36.41  100
0 0 2  2.267  39.76  21
2 0 0  2.080  43.50  33
2 0 2  1.533  60.40  25
1 1 3  1.344  69.99  15
3 1 1  1.264  75.20  25
2 2 2  1.234  77.33  12

# 3
# HgW2
Calculated powder X-ray diffraction pattern, Cu Kα, 1.54184 Å. Input: a structure optimized by DFT (PBE).
Lines closer than 0.1° are merged.

```
data_HgW2
_cell_length_a 2.724
_cell_length_b 16.212
_cell_length_c 4.848
_cell_angle_alpha 90.00
_cell_angle_beta 90.00
_cell_angle_gamma 90.00
_space_group_name_H-M_alt 'C m c m'
_space_group_IT_number 63
_space_group_name_Hall '-C 2c 2'
loop_
_atom_site_label
_atom_site_fract_x
_atom_site_fract_y
_atom_site_fract_z
_atom_site_occupancy
Hg1 0.000 0.215 0.250 1
W1 0.000 0.105 0.750 1
W2 0.000 0.451 0.750 1
```

Principal peaks in the range 15° ≤ 2θ ≤ 90°, in order of rising 2θ:
hkl  d_spacing  2theta  I (rel.)
1 3 0  2.432  36.96  29
0 0 2  2.424  37.09  49
0 6 1  2.360  38.13  72
1 3 1  2.174  41.54  100
1 3 2  1.717  53.36  21
1 3 3  1.346  69.88  22
1 9 2  1.277  74.27  23
2 6 1  1.180  81.61  21

# 4
# La2C2N4O
Calculated powder X-ray diffraction pattern, Cu Kα, 1.54184 Å. Input: a structure optimized by DFT (PBE).
Lines closer than 0.1° are merged.

```
data_La2C2N4O
_cell_length_a 13.568
_cell_length_b 6.276
_cell_length_c 6.149
_cell_angle_alpha 90.00
_cell_angle_beta 104.69
_cell_angle_gamma 90.00
_space_group_name_H-M_alt 'C 1 2/c 1'
_space_group_IT_number 15
_space_group_name_Hall '-C 2yc'
loop_
_atom_site_label
_atom_site_fract_x
_atom_site_fract_y
_atom_site_fract_z
_atom_site_occupancy
La1 0.100 0.214 0.076 1
C1 0.152 0.275 0.612 1
N1 0.092 0.383 0.468 1
N2 0.208 0.161 0.755 1
O1 0.000 0.027 0.750 1
```

Principal peaks in the range 15° ≤ 2θ ≤ 90°, in order of rising 2θ:
hkl  d_spacing  2theta  I (rel.)
1 1 1  3.894  22.84  100
3 1 -1  3.402  26.20  80
4 0 0  3.281  27.18  44
0 2 0  3.138  28.44  51
2 0 -2  3.011  29.67  55
3 1 1  2.824  31.68  42
5 1 -1  2.453  36.63  38
2 2 -2  2.173  41.57  40